[1]
ZrTaTl2: computed powder diffraction line list (Cu Kα, 1.54184 Å), based on a cell relaxed with PBE.
Neutral-atom scattering factors, no anomalous dispersion.

Cell: 3.7093 5.1733 9.7414 Å, 90.00 90.00 90.00°
Space group Cmm2 (No. 35)
Asymmetric unit:
1 Zr 0.0000 0.0000 0.0000 (multiplicity 2)
2 Ta 0.0000 0.5000 0.7797 (multiplicity 2)
3 Tl 0.0000 0.0000 0.5355 (multiplicity 2)
4 Tl 0.0000 0.5000 0.2623 (multiplicity 2)

Most intense lines, 5° ≤ 2θ ≤ 70°, by angle:
2θ 9.1, rel. 8.5; 2θ 27.5, rel. 4.2; 2θ 31.1, rel. 5.8; 2θ 34.7, rel. 26.3; 2θ 35.0, rel. 100.0; 2θ 36.9, rel. 20.0; 2θ 49.1, rel. 9.9; 2θ 51.5, rel. 15.6; 2θ 61.5, rel. 10.2; 2θ 62.4, rel. 19.4; 2θ 63.0, rel. 8.5; 2θ 65.3, rel. 13.5

=====

[2]
ZrTaTl: computed powder diffraction line list (Cu Kα, 1.54184 Å), based on a cell relaxed with PBE.
Neutral-atom scattering factors, no anomalous dispersion.

Cell: 3.2064 3.2064 7.4188 Å, 90.00 90.00 120.00°
Space group P3m1 (No. 156)
Asymmetric unit:
1 Zr 0.0000 0.0000 0.0000 (multiplicity 1)
2 Ta 0.6667 0.3333 0.3159 (multiplicity 1)
3 Tl 0.3333 0.6667 0.6503 (multiplicity 1)

Most intense lines, 5° ≤ 2θ ≤ 70°, by angle:
2θ 11.9, rel. 14.6; 2θ 24.0, rel. 4.0; 2θ 32.2, rel. 4.8; 2θ 34.5, rel. 100.0; 2θ 36.3, rel. 27.3; 2θ 40.6, rel. 63.5; 2θ 49.3, rel. 3.7; 2θ 57.5, rel. 22.3; 2θ 60.0, rel. 20.4; 2θ 63.2, rel. 1.9; 2θ 68.8, rel. 13.6; 2θ 69.9, rel. 24.4

=====

[3]
TmTaV: computed powder diffraction line list (Cu Kα, 1.54184 Å), based on a cell relaxed with PBE.
Neutral-atom scattering factors, no anomalous dispersion.

Cell: 4.7517 10.1110 20.2917 Å, 90.00 90.00 90.00°
Space group Fddd (No. 70, origin choice 2)
Asymmetric unit:
1 Tm 0.1250 0.2751 0.1250 (multiplicity 16)
2 Ta 0.1250 0.1250 0.5383 (multiplicity 16)
3 V 0.1250 0.1250 0.9998 (multiplicity 16)

Most intense lines, 5° ≤ 2θ ≤ 70°, by angle:
2θ 30.3, rel. 82.6; 2θ 31.8, rel. 74.4; 2θ 32.9, rel. 100.0; 2θ 35.2, rel. 36.9; 2θ 37.4, rel. 69.4; 2θ 38.9, rel. 52.0; 2θ 39.8, rel. 64.2; 2θ 42.0, rel. 20.7; 2θ 45.8, rel. 43.0; 2θ 60.0, rel. 65.7; 2θ 60.4, rel. 30.7; 2θ 68.2, rel. 20.9

=====

[4]
U4Ta: computed powder diffraction line list (Cu Kα, 1.54184 Å), based on a cell relaxed with PBE.
Neutral-atom scattering factors, no anomalous dispersion.

Cell: 5.2533 5.2533 5.2533 Å, 90.00 90.00 90.00°
Space group Pm-3m (No. 221)
Asymmetric unit:
1 U 0.0000 0.0000 0.0000 (multiplicity 1)
2 U 0.0000 0.5000 0.5000 (multiplicity 3)
3 Ta 0.5000 0.5000 0.5000 (multiplicity 1)

Most intense lines, 5° ≤ 2θ ≤ 70°, by angle:
2θ 16.9, rel. 15.0; 2θ 24.0, rel. 13.2; 2θ 29.4, rel. 87.7; 2θ 34.1, rel. 100.0; 2θ 38.3, rel. 7.9; 2θ 42.1, rel. 6.1; 2θ 49.0, rel. 73.7; 2θ 52.2, rel. 4.1; 2θ 55.3, rel. 2.8; 2θ 58.2, rel. 40.9; 2θ 61.1, rel. 26.0; 2θ 66.6, rel. 3.2

=====

[5]
U2TaZn16: computed powder diffraction line list (Cu Kα, 1.54184 Å), based on a cell relaxed with PBE.
Neutral-atom scattering factors, no anomalous dispersion.

Cell: 9.0356 9.0356 13.1919 Å, 90.00 90.00 120.00°
Space group R3m (No. 160, hexagonal axes)
Asymmetric unit:
1 U 0.0000 0.0000 0.0000 (multiplicity 3)
2 U 0.0000 0.0000 0.3351 (multiplicity 3)
3 Ta 0.0000 0.0000 0.5528 (multiplicity 3)
4 Zn 0.0000 0.0000 0.7657 (multiplicity 3)
5 Zn 0.0003 0.2912 0.6570 (multiplicity 18)
6 Zn 0.0018 0.5009 0.8036 (multiplicity 9)
7 Zn 0.1707 0.3415 0.4919 (multiplicity 9)
8 Zn 0.1770 0.3540 0.8425 (multiplicity 9)

Most intense lines, 5° ≤ 2θ ≤ 70°, by angle:
2θ 19.7, rel. 30.8; 2θ 28.3, rel. 37.7; 2θ 33.2, rel. 22.9; 2θ 34.4, rel. 65.9; 2θ 35.6, rel. 41.4; 2θ 39.9, rel. 85.2; 2θ 40.2, rel. 100.0; 2θ 41.0, rel. 57.4; 2θ 41.3, rel. 39.8; 2θ 45.1, rel. 16.1; 2θ 58.0, rel. 21.9; 2θ 58.6, rel. 27.9

=====

[6]
UTaZn: computed powder diffraction line list (Cu Kα, 1.54184 Å), based on a cell relaxed with PBE.
Neutral-atom scattering factors, no anomalous dispersion.

Cell: 3.9908 3.9908 25.0593 Å, 90.00 90.00 120.00°
Space group R-3m (No. 166, hexagonal axes)
Asymmetric unit:
1 U 0.0000 0.0000 0.1902 (multiplicity 6)
2 Ta 0.0000 0.0000 0.0652 (multiplicity 6)
3 Zn 0.0000 0.0000 0.3418 (multiplicity 6)

Most intense lines, 5° ≤ 2θ ≤ 70°, by angle:
2θ 10.6, rel. 21.5; 2θ 26.0, rel. 72.5; 2θ 31.4, rel. 14.0; 2θ 36.1, rel. 83.5; 2θ 38.8, rel. 100.0; 2θ 45.5, rel. 87.3; 2θ 53.1, rel. 10.7; 2θ 55.0, rel. 9.7; 2θ 56.8, rel. 8.5; 2θ 59.4, rel. 20.0; 2θ 61.3, rel. 27.0; 2θ 65.4, rel. 14.1